(1)
Calculated X-ray diffraction stick pattern of Dy6In5Ag for Cu Kα, 1.54184 Å, from a crystal structure in Alexandria, relaxed with GGA-PBE.
Intensities are scaled so that the largest is 100.

a b c (Å): 5.3134 7.4274 8.3941
angles (deg): 90.00 108.14 90.00
Atoms (fractional coordinates):
Dy: 0.0000 0.2454 0.0000
Dy: 0.0000 0.7546 0.0000
Dy: 0.3356 0.2469 0.6712
Dy: 0.3356 0.7531 0.6712
Dy: 0.6644 0.2469 0.3288
Dy: 0.6644 0.7531 0.3288
In: 0.1638 0.0000 0.3281
In: 0.1673 0.5000 0.3348
In: 0.5000 0.5000 0.0000
In: 0.8327 0.5000 0.6652
In: 0.8362 0.0000 0.6719
Ag: 0.5000 0.0000 0.0000

Most intense lines, 15 to 90 degrees two-theta, in order of rising 2θ:
d [Å]  intensity
2.658  51
2.642  100
1.884  9
1.874  9
1.857  9
1.533  19
1.529  18
1.522  18
1.329  6
1.176  8

=====

(2)
Calculated X-ray diffraction stick pattern of La5TbPr for Cu Kα, 1.54184 Å, from a crystal structure in Alexandria, relaxed with GGA-PBE.
Intensities are scaled so that the largest is 100.

a b c (Å): 7.0481 7.0481 12.7544
angles (deg): 109.05 109.05 59.93
Atoms (fractional coordinates):
La: 0.0808 0.9192 0.7500
La: 0.0882 0.3520 0.7531
La: 0.1556 0.6901 0.9989
La: 0.3099 0.8444 0.5011
La: 0.3520 0.0882 0.2531
La: 0.6480 0.9118 0.7469
La: 0.6901 0.1556 0.4989
La: 0.8444 0.3099 0.0011
La: 0.9118 0.6480 0.2469
La: 0.9192 0.0808 0.2500
Tb: 0.4713 0.5287 0.2500
Tb: 0.5287 0.4713 0.7500
Pr: 0.0000 0.5000 0.5000
Pr: 0.5000 0.0000 0.0000

Most intense lines, 15 to 90 degrees two-theta, in order of rising 2θ:
d [Å]  intensity
3.519  18
3.097  46
3.045  19
3.024  49
2.954  100
2.828  16
2.769  24
2.648  20
2.032  21
1.698  13

=====

(3)
Calculated X-ray diffraction stick pattern of RbAl for Cu Kα, 1.54184 Å, from a crystal structure in Alexandria, relaxed with GGA-PBE.
Intensities are scaled so that the largest is 100.

a b c (Å): 6.0676 12.2646 4.7353
angles (deg): 90.00 90.00 90.00
Atoms (fractional coordinates):
Rb: 0.0000 0.1512 0.2500
Rb: 0.0000 0.8488 0.7500
Rb: 0.5000 0.3488 0.7500
Rb: 0.5000 0.6512 0.2500
Al: 0.0000 0.4644 0.2500
Al: 0.0000 0.5356 0.7500
Al: 0.5000 0.0356 0.7500
Al: 0.5000 0.9644 0.2500

Most intense lines, 15 to 90 degrees two-theta, in order of rising 2θ:
d [Å]  intensity
3.748  47
3.571  100
3.390  82
3.034  36
2.574  19
2.368  18
2.358  27
1.963  17
1.941  32
1.867  17

=====

(4)
Calculated X-ray diffraction stick pattern of Ti2TlSiNi for Cu Kα, 1.54184 Å, from a crystal structure in Alexandria, relaxed with GGA-PBE.
Intensities are scaled so that the largest is 100.

a b c (Å): 5.1087 5.1087 4.8063
angles (deg): 90.00 90.00 90.00
Atoms (fractional coordinates):
Ti: 0.0000 0.5000 0.0000
Ti: 0.5000 0.0000 0.0000
Tl: 0.0000 0.0000 0.0000
Si: 0.0000 0.0000 0.5000
Ni: 0.5000 0.5000 0.5000

Most intense lines, 15 to 90 degrees two-theta, in order of rising 2θ:
d [Å]  intensity
5.109  59
4.806  39
3.612  38
3.501  100
2.554  60
2.403  25
2.256  22
2.063  48
1.806  21
1.750  37